Simulated XRD peak list
Compound: Ca3Ti4PbO12
Radiation: copper Kα
Structure: a crystal structure in the Materials Project, relaxed with GGA-PBE

Principal peaks in the range 2θ from 10° to 90°, low angle first:
d_spacing  Rel. int.
7.789  29
4.509  21
4.481  21
3.481  27
2.765  26
2.753  100
2.739  25
1.948  37
1.592  20
1.586  22

Cell and atoms:
Unit cell a=5.478 b=7.789 c=5.530 alpha=90.00 beta=90.21 gamma=90.00
Fractional coordinates of all 20 atoms:
Ca: 0.000 0.000 0.000
Ca: 0.005 0.500 0.068
Ca: 0.499 0.500 0.578
Ti: 0.003 0.255 0.537
Ti: 0.003 0.745 0.537
Ti: 0.505 0.253 0.043
Ti: 0.505 0.747 0.043
Pb: 0.508 0.000 0.521
O: 0.050 0.000 0.557
O: 0.215 0.290 0.818
O: 0.215 0.710 0.818
O: 0.293 0.290 0.320
O: 0.293 0.710 0.320
O: 0.435 0.000 0.032
O: 0.570 0.500 0.023
O: 0.719 0.231 0.747
O: 0.719 0.769 0.747
O: 0.800 0.217 0.234
O: 0.800 0.783 0.234
O: 0.932 0.500 0.506

---

Simulated XRD peak list
Compound: CaZr4Pb3O12
Radiation: copper Kα
Structure: a crystal structure in the Materials Project, relaxed with GGA-PBE

Principal peaks in the range 2θ from 10° to 90°, low angle first:
d_spacing  Rel. int.
4.181  18
2.975  100
2.937  96
2.403  11
2.095  17
2.088  34
1.725  19
1.703  35
1.695  16
1.488  12

Cell and atoms:
Unit cell a=8.352 b=8.355 c=8.380 alpha=89.25 beta=89.27 gamma=89.21
Fractional coordinates of all 40 atoms:
Ca: 0.000 0.000 0.000
Ca: 0.000 0.499 0.502
Zr: 0.217 0.720 0.228
Zr: 0.218 0.720 0.731
Zr: 0.219 0.219 0.229
Zr: 0.220 0.221 0.727
Zr: 0.722 0.716 0.724
Zr: 0.724 0.215 0.223
Zr: 0.725 0.221 0.723
Zr: 0.725 0.719 0.224
Pb: 0.487 0.988 0.994
Pb: 0.489 0.492 0.490
Pb: 0.489 0.983 0.501
Pb: 0.491 0.484 0.999
Pb: 0.987 0.483 0.995
Pb: 0.989 0.986 0.497
O: 0.157 0.749 0.970
O: 0.159 0.248 0.469
O: 0.168 0.464 0.740
O: 0.169 0.964 0.239
O: 0.232 0.672 0.470
O: 0.234 0.171 0.968
O: 0.235 0.463 0.176
O: 0.237 0.963 0.675
O: 0.463 0.671 0.737
O: 0.463 0.734 0.182
O: 0.464 0.235 0.679
O: 0.465 0.167 0.234
O: 0.673 0.459 0.234
O: 0.673 0.732 0.466
O: 0.674 0.961 0.733
O: 0.676 0.234 0.965
O: 0.734 0.669 0.967
O: 0.738 0.173 0.466
O: 0.754 0.461 0.665
O: 0.754 0.959 0.164
O: 0.963 0.655 0.256
O: 0.964 0.157 0.754
O: 0.964 0.734 0.675
O: 0.966 0.232 0.172

---

Simulated XRD peak list
Compound: CaTi4Pd3O12
Radiation: copper Kα
Structure: a crystal structure in the Materials Project, relaxed with GGA-PBE

Principal peaks in the range 2θ from 10° to 90°, low angle first:
d_spacing  Rel. int.
5.357  9
3.788  10
3.093  9
2.678  100
2.396  5
2.187  12
1.894  28
1.546  48
1.339  14
1.198  16

Cell and atoms:
Unit cell a=6.561 b=6.561 c=6.561 alpha=109.47 beta=109.47 gamma=109.47
Fractional coordinates of all 20 atoms:
Ca: 0.000 0.000 0.000
Ti: 0.000 0.000 0.500
Ti: 0.000 0.500 0.000
Ti: 0.500 0.000 0.000
Ti: 0.500 0.500 0.500
Pd: 0.000 0.500 0.500
Pd: 0.500 0.000 0.500
Pd: 0.500 0.500 0.000
O: 0.115 0.294 0.821
O: 0.179 0.473 0.294
O: 0.179 0.885 0.706
O: 0.294 0.179 0.473
O: 0.294 0.821 0.115
O: 0.473 0.294 0.179
O: 0.527 0.706 0.821
O: 0.706 0.179 0.885
O: 0.706 0.821 0.527
O: 0.821 0.115 0.294
O: 0.821 0.527 0.706
O: 0.885 0.706 0.179

---

Simulated XRD peak list
Compound: Ca2Pr2O5
Radiation: copper Kα
Structure: a crystal structure in the Materials Project, relaxed with GGA-PBE

Principal peaks in the range 2θ from 10° to 90°, low angle first:
d_spacing  Rel. int.
4.292  35
3.912  12
3.035  47
2.891  100
2.398  34
2.146  35
1.723  43
1.644  20
1.446  13
1.115  15

Cell and atoms:
Unit cell a=4.292 b=4.292 c=7.823 alpha=90.00 beta=90.00 gamma=90.00
Fractional coordinates of all 9 atoms:
Ca: 0.000 0.000 0.229
Ca: 0.000 0.000 0.771
Pr: 0.500 0.500 0.000
Pr: 0.500 0.500 0.500
O: 0.000 0.000 0.500
O: 0.000 0.500 0.188
O: 0.000 0.500 0.812
O: 0.500 0.000 0.188
O: 0.500 0.000 0.812

---

Simulated XRD peak list
Compound: Ca2PrO4
Radiation: copper Kα
Structure: a crystal structure in the Materials Project, relaxed with GGA-PBE

Principal peaks in the range 2θ from 10° to 90°, low angle first:
d_spacing  Rel. int.
5.120  67
4.990  22
2.982  18
2.956  100
2.931  25
2.905  63
2.090  53
1.707  19
1.677  24
1.537  18

Cell and atoms:
Unit cell a=5.965 b=9.980 c=3.621 alpha=90.00 beta=90.00 gamma=90.00
Fractional coordinates of all 14 atoms:
Ca: 0.059 0.174 0.000
Ca: 0.441 0.674 0.000
Ca: 0.559 0.326 0.000
Ca: 0.941 0.826 0.000
Pr: 0.000 0.500 0.500
Pr: 0.500 0.000 0.500
O: 0.163 0.714 0.500
O: 0.248 0.961 0.000
O: 0.252 0.461 0.000
O: 0.337 0.214 0.500
O: 0.663 0.786 0.500
O: 0.748 0.539 0.000
O: 0.752 0.039 0.000
O: 0.837 0.286 0.500

---

Simulated XRD peak list
Compound: CaPrSb2O6
Radiation: copper Kα
Structure: a crystal structure in the Materials Project, relaxed with GGA-PBE

Principal peaks in the range 2θ from 10° to 90°, low angle first:
d_spacing  Rel. int.
4.752  13
3.047  22
2.960  100
2.887  22
2.096  21
2.090  13
1.742  14
1.693  11
1.681  23
1.480  11

Cell and atoms:
Unit cell a=8.361 b=6.093 c=5.775 alpha=90.00 beta=90.00 gamma=90.00
Fractional coordinates of all 20 atoms:
Ca: 0.000 0.195 0.000
Ca: 0.500 0.805 0.500
Pr: 0.000 0.687 0.536
Pr: 0.500 0.313 0.036
Sb: 0.246 0.243 0.520
Sb: 0.254 0.757 0.020
Sb: 0.746 0.757 0.020
Sb: 0.754 0.243 0.520
O: 0.000 0.305 0.389
O: 0.000 0.811 0.146
O: 0.184 0.441 0.810
O: 0.184 0.950 0.696
O: 0.316 0.050 0.196
O: 0.316 0.559 0.310
O: 0.500 0.189 0.646
O: 0.500 0.695 0.889
O: 0.684 0.050 0.196
O: 0.684 0.559 0.310
O: 0.816 0.441 0.810
O: 0.816 0.950 0.696

---

Simulated XRD peak list
Compound: CaPrSb2O6
Radiation: copper Kα
Structure: a crystal structure in the Materials Project, relaxed with GGA-PBE

Principal peaks in the range 2θ from 10° to 90°, low angle first:
d_spacing  Rel. int.
4.915  14
4.257  7
3.010  100
2.567  8
2.128  33
1.738  40
1.505  20
1.346  17
1.229  7
1.138  21

Cell and atoms:
Unit cell a=6.020 b=6.020 c=6.020 alpha=60.00 beta=60.00 gamma=60.00
Fractional coordinates of all 10 atoms:
Ca: 0.000 0.000 0.000
Pr: 0.500 0.500 0.500
Sb: 0.250 0.250 0.250
Sb: 0.750 0.750 0.750
O: 0.000 0.000 0.500
O: 0.000 0.500 0.000
O: 0.000 0.500 0.500
O: 0.500 0.000 0.000
O: 0.500 0.000 0.500
O: 0.500 0.500 0.000

---

Simulated XRD peak list
Compound: CaPrSb2O6
Radiation: copper Kα
Structure: a crystal structure in the Materials Project, relaxed with GGA-PBE

Principal peaks in the range 2θ from 10° to 90°, low angle first:
d_spacing  Rel. int.
5.904  29
3.002  80
2.984  80
2.952  100
2.146  30
2.100  23
2.075  23
1.736  41
1.717  41
1.707  38

Cell and atoms:
Unit cell a=5.904 b=5.904 c=4.293 alpha=90.00 beta=90.00 gamma=90.69
Fractional coordinates of all 10 atoms:
Ca: 0.000 0.000 0.000
Pr: 0.500 0.500 0.000
Sb: 0.000 0.500 0.500
Sb: 0.500 0.000 0.500
O: 0.000 0.500 0.000
O: 0.172 0.172 0.500
O: 0.338 0.662 0.500
O: 0.500 0.000 0.000
O: 0.662 0.338 0.500
O: 0.828 0.828 0.500

---

Simulated XRD peak list
Compound: CaPrSn2O6
Radiation: copper Kα
Structure: a crystal structure in the Materials Project, relaxed with GGA-PBE

Principal peaks in the range 2θ from 10° to 90°, low angle first:
d_spacing  Rel. int.
4.684  11
2.976  22
2.910  100
2.848  22
2.058  36
1.705  15
1.668  12
1.656  24
1.455  12
1.302  17

Cell and atoms:
Unit cell a=8.233 b=5.952 c=5.696 alpha=90.00 beta=90.00 gamma=90.00
Fractional coordinates of all 20 atoms:
Ca: 0.000 0.199 0.000
Ca: 0.500 0.801 0.500
Pr: 0.000 0.691 0.535
Pr: 0.500 0.309 0.035
Sn: 0.249 0.246 0.516
Sn: 0.251 0.754 0.016
Sn: 0.749 0.754 0.016
Sn: 0.751 0.246 0.516
O: 0.000 0.296 0.398
O: 0.000 0.801 0.134
O: 0.188 0.453 0.812
O: 0.188 0.951 0.711
O: 0.312 0.049 0.211
O: 0.312 0.547 0.312
O: 0.500 0.199 0.634
O: 0.500 0.704 0.898
O: 0.688 0.049 0.211
O: 0.688 0.547 0.312
O: 0.812 0.453 0.812
O: 0.812 0.951 0.711

---

Simulated XRD peak list
Compound: RbCaO3
Radiation: copper Kα
Structure: a crystal structure in the Materials Project, relaxed with GGA-PBE

Principal peaks in the range 2θ from 10° to 90°, low angle first:
d_spacing  Rel. int.
4.617  6
3.264  100
2.665  28
2.308  47
1.885  41
1.632  29
1.460  18
1.392  9
1.333  9
1.234  20

Cell and atoms:
Unit cell a=4.617 b=4.617 c=4.617 alpha=90.00 beta=90.00 gamma=90.00
Fractional coordinates of all 5 atoms:
Rb: 0.000 0.000 0.000
Ca: 0.500 0.500 0.500
O: 0.000 0.500 0.500
O: 0.500 0.000 0.500
O: 0.500 0.500 0.000